# 1
For ErZn9Ni3, the PBE geometry in Alexandria gives the computed powder X-ray diffraction pattern in this record (a wavelength of 1.5418 Å).

The 10 most intense peaks (10 to 80 degrees two-theta), in order of rising 2θ:
2θ = 35.65°, intensity 326; 2θ = 35.84°, intensity 233; 2θ = 35.98°, intensity 301; 2θ = 41.39°, intensity 1000; 2θ = 41.58°, intensity 994; 2θ = 41.81°, intensity 433; 2θ = 42.04°, intensity 300; 2θ = 46.54°, intensity 242; 2θ = 46.66°, intensity 222; 2θ = 75.51°, intensity 200

Cell and atoms:
```
data_ErZn9Ni3
_chemical_formula_sum 'Er2 Zn18 Ni6'
_cell_length_a 5.0114
_cell_length_b 12.3677
_cell_length_c 6.5644
_cell_angle_alpha 90.00
_cell_angle_beta 111.61
_cell_angle_gamma 90.00
_space_group_name_H-M_alt 'C 1 2/m 1'
_space_group_IT_number 12
_space_group_name_Hall '-C 2y'
loop_
_atom_site_label
_atom_site_type_symbol
_atom_site_fract_x
_atom_site_fract_y
_atom_site_fract_z
Er1 Er 0.0000 0.0000 0.0000
Zn1 Zn 0.0000 0.5000 0.5000
Zn2 Zn 0.1105 0.3881 0.2157
Zn3 Zn 0.1544 0.1752 0.3381
Ni1 Ni 0.0000 0.0000 0.5000
Ni2 Ni 0.2500 0.2500 0.0000
```


# 2
For K2BaCu2Cl6, the PBE geometry in Alexandria gives the computed powder X-ray diffraction pattern in this record (a wavelength of 1.5418 Å).

The 10 most intense peaks (10 to 80 degrees two-theta), in order of rising 2θ:
2θ = 15.75°, intensity 407; 2θ = 16.16°, intensity 524; 2θ = 21.38°, intensity 270; 2θ = 23.22°, intensity 356; 2θ = 23.83°, intensity 748; 2θ = 25.64°, intensity 1000; 2θ = 26.56°, intensity 254; 2θ = 34.15°, intensity 347; 2θ = 39.75°, intensity 348; 2θ = 42.30°, intensity 256

Cell and atoms:
```
data_K2BaCu2Cl6
_chemical_formula_sum 'K4 Ba2 Cu4 Cl12'
_cell_length_a 12.8533
_cell_length_b 7.6610
_cell_length_c 7.9495
_cell_angle_alpha 90.00
_cell_angle_beta 118.88
_cell_angle_gamma 90.00
_space_group_name_H-M_alt 'C 1 2/m 1'
_space_group_IT_number 12
_space_group_name_Hall '-C 2y'
loop_
_atom_site_label
_atom_site_type_symbol
_atom_site_fract_x
_atom_site_fract_y
_atom_site_fract_z
K1 K 0.2274 0.0000 0.1812
Ba1 Ba 0.0000 0.0000 0.5000
Cu1 Cu 0.0394 0.5000 0.2119
Cl1 Cl 0.0722 0.2576 0.8341
Cl2 Cl 0.2369 0.5000 0.3955
```